Record 1
Calculated X-ray powder pattern
Compound: Y3VSn
Radiation: Cu Kα X-rays
Structure: a structure optimized by DFT (PBE)
Peak positions follow from Bragg's law for the DFT cell and can differ from measured ones.

Largest 10 diffraction maxima, low angle first, 5 to 70 degrees two-theta:
two_theta	I/Imax
17.0	2
24.1	14
29.6	100
34.3	85
42.4	6
49.4	59
55.7	3
58.6	43
61.5	20
67.1	3

Crystal structure
a = 5.2227 Å, b = 5.2227 Å, c = 5.2227 Å
α = 90.00°, β = 90.00°, γ = 90.00°
Positions (direct):
Y1 0.0000 0.0000 0.5000
Y2 0.0000 0.5000 0.0000
Y3 0.5000 0.0000 0.0000
V1 0.0000 0.0000 0.0000
Sn1 0.5000 0.5000 0.5000

=====

Record 2
Calculated X-ray powder pattern
Compound: Zr12VSn6
Radiation: Cu Kα X-rays
Structure: a structure optimized by DFT (PBE)
Peak positions follow from Bragg's law for the DFT cell and can differ from measured ones.

Largest 10 diffraction maxima, low angle first, 5 to 70 degrees two-theta:
two_theta	I/Imax
23.8	43
28.3	22
29.4	26
31.7	42
33.5	51
34.7	100
35.3	28
39.7	27
40.8	62
56.3	22

Crystal structure
a = 7.9266 Å, b = 7.9266 Å, c = 7.9266 Å
α = 100.05°, β = 100.05°, γ = 100.05°
Positions (direct):
Zr1 0.0156 0.0511 0.3251
Zr2 0.0511 0.3251 0.0156
Zr3 0.2114 0.5251 0.4065
Zr4 0.3251 0.0156 0.0511
Zr5 0.4065 0.2114 0.5251
Zr6 0.4749 0.5935 0.7886
Zr7 0.5251 0.4065 0.2114
Zr8 0.5935 0.7886 0.4749
Zr9 0.6749 0.9844 0.9489
Zr10 0.7886 0.4749 0.5935
Zr11 0.9489 0.6749 0.9844
Zr12 0.9844 0.9489 0.6749
V1 0.0000 0.0000 0.0000
Sn1 0.1117 0.3314 0.6667
Sn2 0.3314 0.6667 0.1117
Sn3 0.3333 0.8883 0.6686
Sn4 0.6667 0.1117 0.3314
Sn5 0.6686 0.3333 0.8883
Sn6 0.8883 0.6686 0.3333

=====

Record 3
Calculated X-ray powder pattern
Compound: Zr2V2Sn
Radiation: Cu Kα X-rays
Structure: a structure optimized by DFT (PBE)
Peak positions follow from Bragg's law for the DFT cell and can differ from measured ones.

Largest 10 diffraction maxima, low angle first, 5 to 70 degrees two-theta:
two_theta	I/Imax
29.9	12
34.8	100
35.2	31
37.0	65
39.5	39
49.5	18
52.2	16
59.9	18
62.2	12
65.1	18

Crystal structure
a = 7.2202 Å, b = 7.2202 Å, c = 3.6798 Å
α = 90.00°, β = 90.00°, γ = 90.00°
Positions (direct):
Zr1 0.1898 0.3102 0.0000
Zr2 0.3102 0.8102 0.0000
Zr3 0.6898 0.1898 0.0000
Zr4 0.8102 0.6898 0.0000
V1 0.1028 0.6028 0.5000
V2 0.3972 0.1028 0.5000
V3 0.6028 0.8972 0.5000
V4 0.8972 0.3972 0.5000
Sn1 0.0000 0.0000 0.5000
Sn2 0.5000 0.5000 0.5000